# Li3Zr3VS8
Computed powder diffractogram, Cu Kα (weighted mean of Kα1 and Kα2). Input: a DFT-relaxed cell (GGA-PBE, Alexandria).
Neutral-atom scattering factors, no anomalous dispersion.

Peak list (8 most intense, 2θ from 10° to 90°, most intense first)
Position (°2θ)	Rel. int.	h k l
34.57	100	0 2 4
14.14	90	0 0 3
29.08	42	0 2 1
48.56	35	2 0 8
50.80	31	2 2 0
37.52	18	2 0 5
53.01	17	2 2 3
62.91	16	4 0 4

Atomic structure:
```
data_Li3Zr3VS8
_chemical_formula_sum 'Li9 Zr9 V3 S24'
_symmetry_space_group_name_H-M 'R -3 m'
_symmetry_Int_Tables_number 166
_symmetry_space_group_name_Hall '-R 3 2"'
_cell_length_a 7.1889
_cell_length_b 7.1889
_cell_length_c 18.7880
_cell_angle_alpha 90.00
_cell_angle_beta 90.00
_cell_angle_gamma 120.00
loop_
_atom_site_label
_atom_site_type_symbol
_atom_site_fract_x
_atom_site_fract_y
_atom_site_fract_z
Li1 Li 0.0000 0.5000 0.0000
Zr1 Zr 0.0000 0.5000 0.5000
V1 V 0.0000 0.0000 0.5000
S1 S 0.0000 0.0000 0.2503
S2 S 0.0108 0.5054 0.2461
```


# LiY6S5
Computed powder diffractogram, Cu Kα (weighted mean of Kα1 and Kα2). Input: a DFT-relaxed cell (GGA-PBE, Alexandria).
Neutral-atom scattering factors, no anomalous dispersion.

Peak list (8 most intense, 2θ from 10° to 90°, most intense first)
Position (°2θ)	Rel. int.	h k l
33.40	100	1 1 3
47.53	39	3 0 0
27.70	36	1 1 1
37.75	25	1 1 4
26.91	24	1 1 0
42.79	18	1 1 5
59.33	18	2 2 3
25.98	17	0 0 4

Atomic structure:
```
data_LiY6S5
_chemical_formula_sum 'Li2 Y12 S10'
_symmetry_space_group_name_H-M 'P 63/m c m'
_symmetry_Int_Tables_number 193
_symmetry_space_group_name_Hall '-P 6c 2'
_cell_length_a 6.6270
_cell_length_b 6.6270
_cell_length_c 13.7184
_cell_angle_alpha 90.00
_cell_angle_beta 90.00
_cell_angle_gamma 120.00
loop_
_atom_site_label
_atom_site_type_symbol
_atom_site_fract_x
_atom_site_fract_y
_atom_site_fract_z
Li1 Li 0.0000 0.0000 0.2500
Y1 Y 0.0000 0.3376 0.1145
S1 S 0.0000 0.3408 0.7500
S2 S 0.3333 0.6667 0.0000
```